Starting from a structure optimized by DFT (PBE), the powder diffraction line list of TiPb15O17 was computed for Cu Ka.

Cell and atoms:
Lattice parameters (Å, degrees): 4.1103 31.7037 5.2943 90.00 90.00 90.00
Sites, in units of the cell vectors:
Ti  0.0000  0.0000  0.0000
Pb  0.0000  0.1228  0.9117
Pb  0.0000  0.2498  0.9082
Pb  0.0000  0.3750  0.9089
Pb  0.0000  0.5000  0.9089
Pb  0.0000  0.6250  0.9089
Pb  0.0000  0.7502  0.9082
Pb  0.0000  0.8772  0.9117
Pb  0.5000  0.0598  0.3757
Pb  0.5000  0.1866  0.3569
Pb  0.5000  0.3123  0.3603
Pb  0.5000  0.4375  0.3607
Pb  0.5000  0.5625  0.3607
Pb  0.5000  0.6877  0.3603
Pb  0.5000  0.8134  0.3569
Pb  0.5000  0.9402  0.3757
O  0.0000  0.0000  0.6765
O  0.0000  0.0575  0.1371
O  0.0000  0.1866  0.1388
O  0.0000  0.3124  0.1432
O  0.0000  0.4375  0.1433
O  0.0000  0.5625  0.1433
O  0.0000  0.6876  0.1432
O  0.0000  0.8134  0.1388
O  0.0000  0.9425  0.1371
O  0.5000  0.0000  0.1060
O  0.5000  0.1233  0.1294
O  0.5000  0.2497  0.1258
O  0.5000  0.3750  0.1263
O  0.5000  0.5000  0.1264
O  0.5000  0.6250  0.1263
O  0.5000  0.7503  0.1258
O  0.5000  0.8767  0.1294

Main lines, by angle (15 to 90 degrees two-theta):
| 2theta | d (Å) | I/Imax | index |
| --- | --- | --- | --- |
| 27.47 | 3.247 | 100 | 1 0 1 |
| 28.13 | 3.173 | 96 | 0 8 1 |
| 31.36 | 2.853 | 62 | 1 8 0 |
| 46.82 | 1.940 | 51 | 1 8 2 |
| 53.10 | 1.725 | 34 | 2 8 1 |
| 54.23 | 1.691 | 31 | 1 16 1 |